Entry 1:
# MgCu2O2
Simulated powder X-ray diffraction pattern, a wavelength of 1.5418 Å. Input: a GGA-PBE-relaxed structure.
Neutral-atom scattering factors, no anomalous dispersion.

The 8 most intense peaks (10 to 80 degrees two-theta), most intense first:
2θ = 19.30°, rel. 100.0
2θ = 29.26°, rel. 55.6
2θ = 34.63°, rel. 45.4
2θ = 35.95°, rel. 44.3
2θ = 33.90°, rel. 39.8
2θ = 37.12°, rel. 36.6
2θ = 18.32°, rel. 22.7
2θ = 16.76°, rel. 22.4

Structural model:
Lattice parameters (Å, degrees): 3.055 5.283 5.770 66.50 87.78 88.39
Fractional positions:
Mg 0.000 0.000 0.000
Cu 0.500 0.000 0.500
Cu 0.500 0.500 0.000
O 0.483 0.123 0.156
O 0.517 0.877 0.844



Entry 2:
# MgCu2O4
Simulated powder X-ray diffraction pattern, a wavelength of 1.5418 Å. Input: a GGA-PBE-relaxed structure.
Neutral-atom scattering factors, no anomalous dispersion.

The 8 most intense peaks (10 to 80 degrees two-theta), most intense first:
2θ = 35.36°, rel. 100.0
2θ = 35.47°, rel. 84.3
2θ = 18.47°, rel. 62.4
2θ = 43.14°, rel. 61.5
2θ = 62.36°, rel. 52.1
2θ = 30.26°, rel. 48.4
2θ = 62.94°, rel. 47.5
2θ = 35.69°, rel. 38.7

Structural model:
Lattice parameters (Å, degrees): 5.907 5.907 5.907 60.55 60.55 60.55
Fractional positions:
Mg 0.000 0.000 0.000
Mg 0.386 0.386 0.386
Cu 0.001 0.001 0.498
Cu 0.001 0.498 0.001
Cu 0.498 0.001 0.001
Cu 0.619 0.619 0.619
O 0.211 0.752 0.752
O 0.243 0.243 0.793
O 0.243 0.793 0.243
O 0.248 0.248 0.248
O 0.750 0.750 0.750
O 0.752 0.211 0.752
O 0.752 0.752 0.211
O 0.793 0.243 0.243